This entry pairs a crystal structure of KAgMoF6 with its calculated X-ray powder pattern. Radiation: Cu Ka. Structure: DFT lattice parameters and positions (PBE+U).

Principal peaks in the range 10° ≤ 2θ ≤ 90°, in order of rising 2θ:
2θ 19.08, rel. 321; 2θ 26.08, rel. 1000; 2θ 28.12, rel. 518; 2θ 34.96, rel. 123; 2θ 38.73, rel. 342; 2θ 48.54, rel. 353; 2θ 49.77, rel. 226; 2θ 50.79, rel. 389; 2θ 64.79, rel. 139; 2θ 73.86, rel. 111

Structure:
```
18
Lattice="6.346 0.000 0.000 -3.173 5.496 0.000 0.000 0.000 8.726" Properties=species:S:1:pos:R:3 pbc="T T T"
K 0.000 3.664 2.182
K 3.173 1.832 6.545
Ag 0.000 0.000 0.000
Ag 0.000 0.000 4.363
Mo 0.000 3.664 6.545
Mo 3.173 1.832 2.182
F -0.773 2.170 5.442
F -1.680 3.742 7.647
F 0.773 2.170 7.647
F -0.908 5.080 5.442
F 2.265 0.416 1.079
F 1.493 1.754 3.284
F 1.680 3.742 5.442
F 0.908 5.080 7.647
F 4.081 0.416 3.284
F 2.401 3.326 1.079
F 4.854 1.754 1.079
F 3.946 3.326 3.284
```